Starting from a PBE-relaxed structure, the powder diffractogram of NaYF4 was computed for copper Kα.
No peak broadening, texture or thermal motion is included.

Atomic structure:
Unit cell a=6.0764 b=6.0764 c=7.0760 alpha=90.00 beta=90.00 gamma=120.00
Space group P-6 (No. 174)
Symmetry-distinct sites (fractional):
Na (0.0000, 0.0000, 0.0000) [1 per cell]
Na (0.6667, 0.3333, 0.2208) [2 per cell]
Y (0.0000, 0.0000, 0.5000) [1 per cell]
Y (0.3333, 0.6667, 0.2466) [2 per cell]
F (0.0516, 0.4430, 0.0000) [3 per cell]
F (0.0588, 0.4218, 0.5000) [3 per cell]
F (0.2676, 0.2600, 0.2645) [6 per cell]

Largest 10 diffraction maxima, in order of rising 2θ, 5 to 70 degrees two-theta:
hkl 1 0 0, 2θ 16.85, d = 5.262 Å, intensity 90
hkl 1 0 1, 2θ 21.04, d = 4.223 Å, intensity 35
hkl 1 1 0, 2θ 29.40, d = 3.038 Å, intensity 77
hkl 1 0 2, 2θ 30.44, d = 2.936 Å, intensity 78
hkl 1 1 2, 2θ 39.08, d = 2.305 Å, intensity 39
hkl 2 0 2, 2θ 42.83, d = 2.111 Å, intensity 100
hkl 0 0 4, 2θ 51.67, d = 1.769 Å, intensity 23
hkl 3 0 0, 2θ 52.14, d = 1.754 Å, intensity 43
hkl 1 2 2, 2θ 52.80, d = 1.734 Å, intensity 77
hkl 1 1 4, 2θ 60.57, d = 1.529 Å, intensity 19